# MnIn5Br8
Theoretical X-ray diffraction stick pattern, Cu Kα X-rays. Input: a structure optimized by DFT (PBE).
Lines closer than 0.1° are merged.

Structural model:
Cell lengths 9.128, 9.128, 9.128 Å; angles 119.96, 119.96, 90.06 degrees
Element x y z (fractional)
Mn 0.000 0.000 0.000
In 0.113 0.371 0.742
In 0.250 0.750 0.500
In 0.628 0.371 0.258
In 0.629 0.372 0.742
In 0.629 0.887 0.258
Br 0.336 0.112 0.224
Br 0.375 0.124 0.750
Br 0.375 0.625 0.250
Br 0.375 0.625 0.750
Br 0.876 0.625 0.250
Br 0.888 0.112 0.224
Br 0.888 0.112 0.776
Br 0.888 0.664 0.776

Largest 10 diffraction maxima, low angle first, 10° ≤ 2θ ≤ 80°:
d = 4.565 Å, 2θ = 19.45°, I = 13
d = 3.893 Å, 2θ = 22.84°, I = 73
d = 3.228 Å, 2θ = 27.64°, I = 72
d = 2.485 Å, 2θ = 36.15°, I = 25
d = 2.282 Å, 2θ = 39.48°, I = 100
d = 1.864 Å, 2θ = 48.87°, I = 18
d = 1.681 Å, 2θ = 54.60°, I = 24
d = 1.614 Å, 2θ = 57.07°, I = 15
d = 1.444 Å, 2θ = 64.56°, I = 21
d = 1.318 Å, 2θ = 71.61°, I = 29

***

# Pm4SnRh4
Theoretical X-ray diffraction stick pattern, Cu Kα X-rays. Input: a structure optimized by DFT (PBE).
Lines closer than 0.1° are merged.

Structural model:
Cell lengths 8.089, 5.589, 11.183 Å; angles 90.00, 123.44, 90.00 degrees
Element x y z (fractional)
Pm 0.187 0.124 0.190
Pm 0.187 0.876 0.690
Pm 0.260 0.370 0.919
Pm 0.260 0.630 0.419
Pm 0.740 0.370 0.581
Pm 0.740 0.630 0.081
Pm 0.813 0.124 0.310
Pm 0.813 0.876 0.810
Sn 0.500 0.377 0.750
Sn 0.500 0.623 0.250
Rh 0.117 0.353 0.602
Rh 0.117 0.647 0.102
Rh 0.337 0.118 0.498
Rh 0.337 0.882 0.998
Rh 0.663 0.118 0.002
Rh 0.663 0.882 0.502
Rh 0.883 0.353 0.898
Rh 0.883 0.647 0.398

Largest 10 diffraction maxima, low angle first, 10° ≤ 2θ ≤ 80°:
d = 3.375 Å, 2θ = 26.41°, I = 43
d = 2.721 Å, 2θ = 32.92°, I = 84
d = 2.715 Å, 2θ = 33.00°, I = 78
d = 2.687 Å, 2θ = 33.34°, I = 85
d = 2.677 Å, 2θ = 33.47°, I = 100
d = 2.473 Å, 2θ = 36.33°, I = 42
d = 2.416 Å, 2θ = 37.21°, I = 34
d = 2.280 Å, 2θ = 39.52°, I = 63
d = 2.231 Å, 2θ = 40.43°, I = 62
d = 1.875 Å, 2θ = 48.57°, I = 45

***

# MgVB14
Theoretical X-ray diffraction stick pattern, Cu Kα X-rays. Input: a structure optimized by DFT (PBE).
Lines closer than 0.1° are merged.

Structural model:
Cell lengths 7.207, 7.207, 7.207 Å; angles 131.78, 87.90, 111.75 degrees
Element x y z (fractional)
Mg 0.400 0.150 0.250
Mg 0.600 0.850 0.750
V 0.000 0.000 0.500
V 0.000 0.500 0.000
B 0.027 0.885 0.142
B 0.035 0.208 0.334
B 0.035 0.701 0.827
B 0.090 0.675 0.415
B 0.195 0.527 0.668
B 0.230 0.508 0.408
B 0.230 0.822 0.722
B 0.240 0.325 0.915
B 0.243 0.885 0.358
B 0.359 0.527 0.832
B 0.374 0.208 0.673
B 0.374 0.701 0.166
B 0.400 0.178 0.908
B 0.400 0.492 0.222
B 0.600 0.508 0.778
B 0.600 0.822 0.092
B 0.626 0.299 0.834
B 0.626 0.792 0.327
B 0.641 0.473 0.168
B 0.757 0.115 0.642
B 0.760 0.675 0.085
B 0.770 0.178 0.278
B 0.770 0.492 0.592
B 0.805 0.473 0.332
B 0.910 0.325 0.585
B 0.965 0.299 0.173
B 0.965 0.792 0.666
B 0.973 0.115 0.858

Largest 10 diffraction maxima, low angle first, 10° ≤ 2θ ≤ 80°:
d = 6.379 Å, 2θ = 13.88°, I = 100
d = 5.189 Å, 2θ = 17.09°, I = 23
d = 3.187 Å, 2θ = 27.99°, I = 38
d = 2.673 Å, 2θ = 33.52°, I = 50
d = 2.216 Å, 2θ = 40.71°, I = 23
d = 2.184 Å, 2θ = 41.35°, I = 21
d = 2.162 Å, 2θ = 41.79°, I = 95
d = 2.126 Å, 2θ = 42.51°, I = 26
d = 1.660 Å, 2θ = 55.33°, I = 15
d = 1.587 Å, 2θ = 58.13°, I = 16

***

# KHg3H4
Theoretical X-ray diffraction stick pattern, Cu Kα X-rays. Input: a structure optimized by DFT (PBE).
Lines closer than 0.1° are merged.

Structural model:
Cell lengths 3.631, 6.267, 8.525 Å; angles 109.38, 101.75, 90.13 degrees
Element x y z (fractional)
K 0.000 0.000 0.000
Hg 0.333 0.090 0.662
Hg 0.500 0.500 0.000
Hg 0.667 0.910 0.338
H 0.023 0.558 0.498
H 0.438 0.655 0.871
H 0.562 0.345 0.129
H 0.977 0.442 0.502

Largest 10 diffraction maxima, low angle first, 10° ≤ 2θ ≤ 80°:
d = 5.741 Å, 2θ = 15.43°, I = 100
d = 3.545 Å, 2θ = 25.12°, I = 16
d = 3.531 Å, 2θ = 25.22°, I = 16
d = 2.908 Å, 2θ = 30.75°, I = 25
d = 2.887 Å, 2θ = 30.98°, I = 24
d = 2.871 Å, 2θ = 31.16°, I = 18
d = 2.851 Å, 2θ = 31.37°, I = 19
d = 2.617 Å, 2θ = 34.27°, I = 23
d = 2.484 Å, 2θ = 36.16°, I = 17
d = 2.468 Å, 2θ = 36.41°, I = 17

***

# K17Rb11Hg
Theoretical X-ray diffraction stick pattern, Cu Kα X-rays. Input: a structure optimized by DFT (PBE).
Lines closer than 0.1° are merged.

Structural model:
Cell lengths 14.601, 14.601, 13.750 Å; angles 109.08, 109.08, 111.28 degrees
Element x y z (fractional)
K 0.000 0.000 0.000
K 0.005 0.394 0.616
K 0.039 0.039 0.650
K 0.073 0.668 0.951
K 0.075 0.355 0.271
K 0.252 0.959 0.884
K 0.292 0.292 0.572
K 0.293 0.690 0.291
K 0.347 0.653 0.672
K 0.355 0.075 0.271
K 0.394 0.005 0.616
K 0.653 0.347 0.672
K 0.666 0.666 0.916
K 0.668 0.073 0.951
K 0.690 0.293 0.291
K 0.696 0.696 0.285
K 0.959 0.252 0.884
Rb 0.049 0.669 0.482
Rb 0.052 0.868 0.281
Rb 0.296 0.474 0.952
Rb 0.415 0.415 0.309
Rb 0.469 0.846 0.071
Rb 0.474 0.296 0.952
Rb 0.645 0.826 0.636
Rb 0.669 0.049 0.482
Rb 0.826 0.645 0.636
Rb 0.846 0.469 0.071
Rb 0.868 0.052 0.281
Hg 0.207 0.207 0.980

Largest 10 diffraction maxima, low angle first, 10° ≤ 2θ ≤ 80°:
d = 6.878 Å, 2θ = 12.87°, I = 65
d = 3.946 Å, 2θ = 22.53°, I = 55
d = 3.921 Å, 2θ = 22.68°, I = 83
d = 3.898 Å, 2θ = 22.82°, I = 76
d = 3.832 Å, 2θ = 23.21°, I = 100
d = 3.737 Å, 2θ = 23.81°, I = 51
d = 3.611 Å, 2θ = 24.65°, I = 64
d = 3.568 Å, 2θ = 24.96°, I = 88
d = 3.399 Å, 2θ = 26.22°, I = 43
d = 3.241 Å, 2θ = 27.52°, I = 49

***

# TaZnRe
Theoretical X-ray diffraction stick pattern, Cu Kα X-rays. Input: a structure optimized by DFT (PBE).
Lines closer than 0.1° are merged.

Structural model:
Cell lengths 4.862, 4.862, 4.862 Å; angles 147.91, 128.24, 62.22 degrees
Element x y z (fractional)
Ta 0.000 0.000 0.000
Zn 0.331 0.331 0.000
Re 0.670 0.670 0.000

Largest 10 diffraction maxima, low angle first, 10° ≤ 2θ ≤ 80°:
d = 4.163 Å, 2θ = 21.34°, I = 13
d = 3.781 Å, 2θ = 23.53°, I = 24
d = 2.323 Å, 2θ = 38.77°, I = 100
d = 2.271 Å, 2θ = 39.69°, I = 94
d = 2.122 Å, 2θ = 42.60°, I = 38
d = 1.931 Å, 2θ = 47.07°, I = 58
d = 1.428 Å, 2θ = 65.34°, I = 43
d = 1.388 Å, 2θ = 67.50°, I = 10
d = 1.260 Å, 2θ = 75.41°, I = 14
d = 1.252 Å, 2θ = 76.02°, I = 14

***

# Ca2SnAu8
Theoretical X-ray diffraction stick pattern, Cu Kα X-rays. Input: a structure optimized by DFT (PBE).
Lines closer than 0.1° are merged.

Structural model:
Cell lengths 5.069, 5.777, 8.583 Å; angles 109.37, 99.83, 90.07 degrees
Element x y z (fractional)
Ca 0.083 0.119 0.239
Ca 0.917 0.881 0.761
Sn 0.000 0.500 0.000
Au 0.113 0.681 0.362
Au 0.381 0.078 0.648
Au 0.382 0.571 0.649
Au 0.498 0.240 0.000
Au 0.502 0.760 0.000
Au 0.618 0.429 0.351
Au 0.619 0.922 0.352
Au 0.887 0.319 0.638

Largest 10 diffraction maxima, low angle first, 10° ≤ 2θ ≤ 80°:
d = 4.985 Å, 2θ = 17.79°, I = 29
d = 3.791 Å, 2θ = 23.47°, I = 22
d = 2.654 Å, 2θ = 33.77°, I = 68
d = 2.512 Å, 2θ = 35.74°, I = 49
d = 2.499 Å, 2θ = 35.94°, I = 100
d = 2.322 Å, 2θ = 38.79°, I = 15
d = 1.959 Å, 2θ = 46.35°, I = 34
d = 1.913 Å, 2θ = 47.53°, I = 28
d = 1.904 Å, 2θ = 47.78°, I = 26
d = 1.459 Å, 2θ = 63.78°, I = 17

***

# Si
Theoretical X-ray diffraction stick pattern, Cu Kα X-rays. Input: a structure optimized by DFT (PBE).
Lines closer than 0.1° are merged.

Structural model:
Cell lengths 7.006, 7.006, 7.818 Å; angles 90.00, 90.00, 90.00 degrees
Element x y z (fractional)
Si 0.061 0.112 0.352
Si 0.096 0.404 0.658
Si 0.096 0.596 0.908
Si 0.112 0.061 0.648
Si 0.388 0.561 0.602
Si 0.404 0.096 0.342
Si 0.404 0.904 0.592
Si 0.439 0.612 0.898
Si 0.561 0.388 0.398
Si 0.596 0.096 0.092
Si 0.596 0.904 0.842
Si 0.612 0.439 0.102
Si 0.888 0.939 0.148
Si 0.904 0.404 0.408
Si 0.904 0.596 0.158
Si 0.939 0.888 0.852

Largest 10 diffraction maxima, low angle first, 10° ≤ 2θ ≤ 80°:
d = 5.218 Å, 2θ = 16.99°, I = 100
d = 4.185 Å, 2θ = 21.23°, I = 61
d = 3.503 Å, 2θ = 25.43°, I = 42
d = 3.133 Å, 2θ = 28.49°, I = 16
d = 2.908 Å, 2θ = 30.74°, I = 16
d = 2.443 Å, 2θ = 36.78°, I = 46
d = 2.238 Å, 2θ = 40.30°, I = 19
d = 2.132 Å, 2θ = 42.40°, I = 37
d = 1.885 Å, 2θ = 48.29°, I = 17
d = 1.740 Å, 2θ = 52.61°, I = 55